Computed XRD peak list of Ta2Se3 for Cu Kα, 1.54184 Å, from a PBE-relaxed structure.
Neutral-atom scattering factors, no anomalous dispersion.

Main lines, in order of falling intensity (2θ from 15° to 90°):
hkl	d (Å)	I_rel
1 1 -3	2.259	100
1 1 2	2.380	57
3 1 -1	1.858	49
2 0 2	2.357	47
2 1 1	2.173	39
0 1 2	2.717	38

Crystal structure
Lattice parameters (Å, degrees): 6.6448 3.4105 9.2737 90.00 104.25 90.00
Positions (direct):
Ta (0.1137, 0.2500, 0.1354)
Ta (0.3201, 0.2500, 0.5005)
Ta (0.6799, 0.7500, 0.4995)
Ta (0.8863, 0.7500, 0.8646)
Se (0.0275, 0.7500, 0.3428)
Se (0.2723, 0.7500, 0.9857)
Se (0.4774, 0.7500, 0.7061)
Se (0.5226, 0.2500, 0.2939)
Se (0.7277, 0.2500, 0.0143)
Se (0.9725, 0.2500, 0.6572)